Diffraction record for Pm7Dy5. The XRD peak list is computed, not measured: it uses a DFT-relaxed cell (GGA-PBE, Alexandria) and Cu Kα, 1.54184 Å.
Intensities are scaled so that the largest is 100.

Crystal structure
Unit cell a=18.7785 b=3.6235 c=13.2560 alpha=90.00 beta=118.15 gamma=90.00
Space group C2/m (No. 12)
Asymmetric unit:
Pm 0.0000 0.0000 0.0000
Pm 0.0282 0.5000 0.2498
Pm 0.1394 0.0000 0.7511
Pm 0.1672 0.0000 0.5023
Dy 0.0000 0.5000 0.5000
Dy 0.1677 0.5000 0.0014
Dy 0.1942 0.0000 0.2484

Most intense lines, 5 to 70 degrees two-theta, by angle:
| 2θ/deg | I_rel | hkl |
| --- | --- | --- |
| 29.51 | 42 | 6 0 -1 |
| 30.59 | 34 | 0 0 4 |
| 32.42 | 100 | 3 1 -3 |
| 36.81 | 23 | 6 0 -5 |
| 55.54 | 22 | 3 1 -7 |
| 60.13 | 20 | 9 1 1 |